The following is a theoretical powder diffraction line list of Sr10Mg5Mo3W2O30. It was derived from a cell relaxed with GGA+U, using a wavelength of 1.5418 Å.

Atomic structure:
Lattice parameters (Å, degrees): 5.664 5.671 20.387 82.20 82.14 89.59
Space group P-1 (No. 2)
Inequivalent atoms, fractional coordinates:
Sr  0.048  0.049  0.401 x2
Sr  0.151  0.151  0.200 x2
Sr  0.248  0.248  0.001 x2
Sr  0.352  0.352  0.798 x2
Sr  0.448  0.448  0.601 x2
Mg  0.000  0.500  0.500 x1
Mg  0.200  0.700  0.100 x2
Mg  0.400  0.900  0.700 x2
Mo  0.100  0.600  0.300 x2
Mo  0.500  0.000  0.500 x1
W  0.300  0.800  0.900 x2
O  0.017  0.587  0.397 x2
O  0.034  0.583  0.899 x2
O  0.089  0.071  0.886 x2
O  0.115  0.134  0.713 x2
O  0.162  0.621  0.700 x2
O  0.182  0.613  0.204 x2
O  0.218  0.787  0.996 x2
O  0.236  0.781  0.499 x2
O  0.287  0.268  0.487 x2
O  0.315  0.333  0.314 x2
O  0.362  0.821  0.301 x2
O  0.383  0.813  0.803 x2
O  0.418  0.987  0.596 x2
O  0.434  0.983  0.100 x2
O  0.488  0.470  0.087 x2

Peak list (8 most intense, 5 to 70 degrees two-theta, low angle first)
(hkl)	two_theta	I_rel
0 1 -2	19.2	46
1 1 -4	31.5	24
1 -1 5	31.6	100
-1 1 5	31.7	26
2 2 2	45.1	18
0 0 10	45.3	17
2 -2 0	45.4	17
3 -1 6	56.4	21